Calculated powder X-ray diffraction pattern
Compound: RbI4O12
Radiation: Cu Kα
Structure: the GGA-PBE geometry in Alexandria
Lines closer than 0.1° are merged.

Largest 10 diffraction maxima, sorted by position, 2θ = 5–70°:
2θ = 15.7°, I = 14.5; 2θ = 22.3°, I = 100.0; 2θ = 27.4°, I = 7.2; 2θ = 31.8°, I = 96.5; 2θ = 39.2°, I = 8.3; 2θ = 42.5°, I = 6.8; 2θ = 45.5°, I = 35.0; 2θ = 51.3°, I = 39.4; 2θ = 56.6°, I = 42.6; 2θ = 66.4°, I = 19.5

Structural model:
```
RbI4O12
1.0
-3.9829 3.9829 3.9829
3.9829 -3.9829 3.9829
3.9829 3.9829 -3.9829
Rb I O
1 4 12
direct
0.0000 0.0000 0.0000 Rb
0.0000 0.0000 0.5000 I
0.0000 0.5000 0.0000 I
0.5000 0.0000 0.0000 I
0.5000 0.5000 0.5000 I
0.0623 0.7826 0.2796 O
0.2174 0.2796 0.4970 O
0.2174 0.7204 0.9377 O
0.2796 0.0623 0.7826 O
0.2796 0.4970 0.2174 O
0.4970 0.2174 0.2796 O
0.5030 0.7826 0.7204 O
0.7204 0.5030 0.7826 O
0.7204 0.9377 0.2174 O
0.7826 0.2796 0.0623 O
0.7826 0.7204 0.5030 O
0.9377 0.2174 0.7204 O
```